This entry pairs a crystal structure of Li4MnFe3B4O12 with its computed X-ray diffraction stick pattern. Radiation: copper Kα. Structure: the GGA+U geometry in Alexandria.
Neutral-atom scattering factors, no anomalous dispersion.

Most intense lines, 2θ from 10° to 80°, sorted by position:
2θ (°)  intensity  hkl
20.45  84  0 1 -1
20.76  25  1 0 -1
22.31  32  1 1 0
22.53  62  1 -1 0
33.72  100  0 2 2
34.15  32  2 0 0
34.29  24  1 -1 2
34.88  27  1 1 -2
40.32  24  2 1 -1
40.97  52  2 0 2

Structural model:
a = 5.2548 Å, b = 6.1793 Å, c = 7.8755 Å
α = 78.12°, β = 88.08°, γ = 89.07°
Space group P1 (No. 1)
Symmetry-distinct sites (fractional):
Li  0.0000  0.0000  0.0000 x1
Li  0.1404  0.7381  0.6099 x1
Li  0.4971  0.4961  0.4989 x1
Li  0.6433  0.2400  0.1091 x1
Mn  0.6469  0.9566  0.4816 x1
Fe  0.1472  0.4631  0.9793 x1
Fe  0.4967  0.7818  0.1324 x1
Fe  0.9993  0.2774  0.6323 x1
B  0.1489  0.1068  0.3059 x1
B  0.4972  0.1340  0.8009 x1
B  0.6442  0.6030  0.8111 x1
B  0.9950  0.6318  0.3001 x1
O  0.0404  0.0284  0.4722 x1
O  0.1087  0.7131  0.1359 x1
O  0.1408  0.5335  0.4375 x1
O  0.2360  0.1658  0.8255 x1
O  0.4078  0.0723  0.2769 x1
O  0.4962  0.6997  0.6740 x1
O  0.5301  0.5258  0.9757 x1
O  0.6108  0.2147  0.6366 x1
O  0.6437  0.0320  0.9365 x1
O  0.7333  0.6627  0.3245 x1
O  0.9053  0.5715  0.7870 x1
O  0.9979  0.2076  0.1713 x1

This entry pairs a crystal structure of Li8Mn7FeB8O24 with its computed X-ray diffraction stick pattern. Radiation: copper Kα. Structure: the GGA+U geometry in Alexandria.
Neutral-atom scattering factors, no anomalous dispersion.

Most intense lines, 2θ from 10° to 80°, sorted by position:
2θ (°)  intensity  hkl
19.56  71  1 -1 0
21.39  39  1 -1 1
21.55  64  1 1 -1
25.64  48  1 1 2
26.42  29  1 1 -2
34.07  27  1 3 0
34.21  64  2 0 0
34.55  100  0 0 4
40.31  49  0 4 1
40.75  28  2 -2 1

Structural model:
a = 5.2387 Å, b = 9.1146 Å, c = 10.3903 Å
α = 88.24°, β = 89.10°, γ = 89.75°
Space group P1 (No. 1)
Symmetry-distinct sites (fractional):
Li  0.0000  0.0000  0.0000 x1
Li  0.0198  0.9941  0.4993 x1
Li  0.3278  0.3412  0.2495 x1
Li  0.3663  0.3273  0.7500 x1
Li  0.4976  0.4979  0.9986 x1
Li  0.5232  0.4897  0.4991 x1
Li  0.8296  0.8407  0.2500 x1
Li  0.8698  0.8279  0.7479 x1
Mn  0.0041  0.3325  0.9656 x1
Mn  0.3403  0.0042  0.2184 x1
Mn  0.3584  0.6652  0.7134 x1
Mn  0.5133  0.8329  0.9650 x1
Mn  0.5185  0.1620  0.4645 x1
Mn  0.8416  0.5073  0.2157 x1
Mn  0.8579  0.1669  0.7156 x1
Fe  0.0073  0.6668  0.4654 x1
B  0.0159  0.3348  0.4584 x1
B  0.0193  0.6659  0.9567 x1
B  0.3396  0.6684  0.2089 x1
B  0.3548  0.9962  0.7039 x1
B  0.5092  0.8301  0.4584 x1
B  0.5129  0.1653  0.9593 x1
B  0.8374  0.1686  0.2091 x1
B  0.8529  0.4961  0.7098 x1
O  0.0019  0.3785  0.7558 x1
O  0.0871  0.6849  0.2503 x1
O  0.0939  0.9823  0.6924 x1
O  0.2774  0.3444  0.4435 x1
O  0.2792  0.6502  0.9256 x1
O  0.3579  0.9531  0.4283 x1
O  0.3732  0.0436  0.0034 x1
O  0.3959  0.6982  0.4980 x1
O  0.3975  0.3012  0.9443 x1
O  0.4457  0.5306  0.1932 x1
O  0.4704  0.1314  0.6695 x1
O  0.4877  0.7929  0.1787 x1
O  0.5050  0.8787  0.7471 x1
O  0.5876  0.1835  0.2570 x1
O  0.5933  0.4798  0.6939 x1
O  0.7725  0.1490  0.9266 x1
O  0.7732  0.8416  0.4461 x1
O  0.8652  0.4583  0.4277 x1
O  0.8776  0.5440  0.9988 x1
O  0.9015  0.2038  0.5001 x1
O  0.9063  0.8028  0.9429 x1
O  0.9450  0.0314  0.1956 x1
O  0.9675  0.6308  0.6765 x1
O  0.9782  0.2940  0.1718 x1

This entry pairs a crystal structure of Li4MnFe3B4O12 with its computed X-ray diffraction stick pattern. Radiation: copper Kα. Structure: the GGA+U geometry in Alexandria.
Neutral-atom scattering factors, no anomalous dispersion.

Most intense lines, 2θ from 10° to 80°, sorted by position:
2θ (°)  intensity  hkl
20.46  84  1 0 1
20.76  25  1 0 -1
22.32  32  1 1 0
22.53  62  0 0 2
33.74  100  0 2 2
34.14  32  1 1 -2
34.28  24  1 -1 2
34.89  27  2 0 0
40.33  24  2 1 -1
40.96  52  0 2 -2

Structural model:
a = 5.1473 Å, b = 6.1561 Å, c = 8.0467 Å
α = 78.87°, β = 88.68°, γ = 87.84°
Space group P1 (No. 1)
Symmetry-distinct sites (fractional):
Li  0.0000  0.0000  0.0000 x1
Li  0.1666  0.9461  0.6998 x1
Li  0.4964  0.4957  0.4978 x1
Li  0.6641  0.4440  0.2003 x1
Mn  0.6783  0.7098  0.8440 x1
Fe  0.1707  0.2162  0.3414 x1
Fe  0.4907  0.2218  0.8572 x1
Fe  0.9929  0.7293  0.3576 x1
B  0.1814  0.5581  0.0202 x1
B  0.4843  0.8812  0.1821 x1
B  0.6779  0.0625  0.5188 x1
B  0.9819  0.3784  0.6780 x1
O  0.0383  0.4698  0.1655 x1
O  0.0740  0.7236  0.8977 x1
O  0.0967  0.2213  0.8022 x1
O  0.1200  0.4684  0.5308 x1
O  0.2224  0.9495  0.1987 x1
O  0.4393  0.4849  0.0041 x1
O  0.5390  0.9759  0.6653 x1
O  0.5645  0.2205  0.3938 x1
O  0.5963  0.7199  0.3044 x1
O  0.6237  0.9712  0.0356 x1
O  0.7208  0.4455  0.6948 x1
O  0.9402  0.9950  0.5019 x1

This entry pairs a crystal structure of Li4Mn3FeB4O12 with its computed X-ray diffraction stick pattern. Radiation: copper Kα. Structure: the GGA+U geometry in Alexandria.
Neutral-atom scattering factors, no anomalous dispersion.

Most intense lines, 2θ from 10° to 80°, sorted by position:
2θ (°)  intensity  hkl
20.38  86  1 0 -2
20.74  28  0 1 3
22.24  39  0 0 4
22.62  67  1 1 1
33.97  32  1 1 5
34.15  32  2 0 0
34.39  100  0 2 -2
34.70  28  -1 1 5
40.07  28  0 1 7
40.80  62  2 0 4

Structural model:
a = 5.2532 Å, b = 5.8998 Å, c = 16.1954 Å
α = 80.93°, β = 88.92°, γ = 88.82°
Space group P-1 (No. 2)
Symmetry-distinct sites (fractional):
Li  0.1495  0.4313  0.1134 x2
Li  0.1614  0.9297  0.6117 x2
Li  0.3374  0.8169  0.1382 x2
Li  0.3442  0.3272  0.6368 x2
Mn  0.1728  0.5380  0.2916 x2
Mn  0.1817  0.0335  0.7903 x2
Mn  0.3175  0.2082  0.4593 x2
Fe  0.3347  0.7211  0.9621 x2
B  0.1772  0.2134  0.9554 x2
B  0.1776  0.7108  0.4524 x2
B  0.3190  0.0354  0.2978 x2
B  0.3319  0.5387  0.7978 x2
O  0.0799  0.2648  0.5622 x2
O  0.0815  0.7634  0.0576 x2
O  0.1684  0.1781  0.3410 x2
O  0.1869  0.6718  0.8465 x2
O  0.2022  0.9080  0.2434 x2
O  0.2098  0.4247  0.7411 x2
O  0.2925  0.3268  0.0140 x2
O  0.2954  0.8416  0.5052 x2
O  0.3266  0.5636  0.4102 x2
O  0.3286  0.0837  0.9076 x2
O  0.4081  0.4847  0.1909 x2
O  0.4234  0.9901  0.6879 x2